# 1
Structure and calculated XRD peak list of Li8SbAs2 (a structure optimized by DFT (GGA-PBE); Cu Kα).
No peak broadening, texture or thermal motion is included.

Structural model:
```
11
Lattice="4.437 0.000 0.000 -0.055 6.322 0.000 -2.192 -3.152 6.672" Properties=species:S:1:pos:R:3 pbc="T T T"
Li 0.000 0.000 0.000
Li -0.034 3.398 0.267
Li -0.022 -0.929 2.804
Li -0.129 3.010 4.379
Li -0.022 -0.903 5.922
Li 2.210 0.242 1.812
Li 2.187 3.157 2.082
Li 1.947 1.283 4.376
Sb 2.188 -1.543 4.373
As -0.013 1.610 2.169
As -0.009 1.619 6.592
```

Most intense lines, 15 to 90 degrees two-theta, most intense first:
- 24.4°, intensity 100, hkl 0 1 -2
- 28.4°, intensity 45, hkl 1 0 1
- 40.6°, intensity 34, hkl 1 2 0
- 24.6°, intensity 32, hkl 1 1 -1
- 47.9°, intensity 28, hkl 1 3 -2
- 40.4°, intensity 23, hkl -1 2 1
- 28.2°, intensity 22, hkl 0 2 -1
- 40.7°, intensity 12, hkl 2 0 -1
- 64.6°, intensity 11, hkl 0 1 4
- 48.0°, intensity 11, hkl 1 1 2
- 47.8°, intensity 11, hkl 0 3 0
- 48.2°, intensity 11, hkl 2 1 -3



# 2
Structure and calculated XRD peak list of TiGa4Mo (a structure optimized by DFT (GGA-PBE); Cu Kα).
No peak broadening, texture or thermal motion is included.

Structural model:
```
12
Lattice="5.505 0.000 0.000 0.000 7.385 0.000 0.000 0.000 5.516" Properties=species:S:1:pos:R:3 pbc="T T T"
Ti 0.000 0.000 0.000
Ti 2.752 3.693 0.000
Ga 1.376 1.846 1.425
Ga 1.376 1.846 4.091
Ga 1.376 5.539 1.425
Ga 1.376 5.539 4.091
Ga 4.128 1.846 1.425
Ga 4.128 1.846 4.091
Ga 4.128 5.539 1.425
Ga 4.128 5.539 4.091
Mo 0.000 3.693 2.758
Mo 2.752 0.000 2.758
```

Most intense lines, 15 to 90 degrees two-theta, most intense first:
- 40.9°, intensity 100, hkl 2 2 0
- 25.9°, intensity 39, hkl 1 1 1
- 46.6°, intensity 34, hkl 2 0 2
- 70.2°, intensity 19, hkl 2 4 2
- 49.4°, intensity 14, hkl 0 4 0
- 82.6°, intensity 12, hkl 4 2 2
- 82.5°, intensity 12, hkl 2 2 4
- 24.1°, intensity 11, hkl 0 2 0
- 86.6°, intensity 11, hkl 2 6 0
- 32.5°, intensity 11, hkl 2 0 0
- 54.1°, intensity 9, hkl 3 1 1
- 43.5°, intensity 9, hkl 1 3 1